Record 1
Simulated X-ray powder pattern
Compound: Sb2Au
Radiation: Cu Kα (λ = 1.5418 Å)
Structure: a crystal structure in the Materials Project, relaxed with PBE
Lines closer than 0.1° are merged.

Crystal structure
Cell lengths 6.791, 6.791, 6.791 Å; angles 90.00, 90.00, 90.00 degrees
Space group Pa-3 (No. 205)
Inequivalent atoms, fractional coordinates:
1 Sb 0.124 0.124 0.124 x8
2 Au 0.000 0.000 0.500 x4

Most intense lines, 2θ = 10–90°, in order of rising 2θ:
| hkl | 2theta | d_spacing | I_rel |
| --- | --- | --- | --- |
| 1 1 1 | 22.68 | 3.921 | 27.8 |
| 2 0 0 | 26.25 | 3.395 | 50.4 |
| 2 1 0 | 29.41 | 3.037 | 54.6 |
| 2 1 1 | 32.29 | 2.772 | 43.3 |
| 2 2 0 | 37.46 | 2.401 | 39.2 |
| 3 1 1 | 44.24 | 2.048 | 100.0 |
| 3 2 1 | 50.27 | 1.815 | 24.5 |
| 5 1 1 | 72.30 | 1.307 | 31.9 |

Record 2
Simulated X-ray powder pattern
Compound: Sb3Au
Radiation: Cu Kα (λ = 1.5418 Å)
Structure: a crystal structure in the Materials Project, relaxed with PBE
Lines closer than 0.1° are merged.

Crystal structure
Cell lengths 5.969, 5.969, 5.969 Å; angles 90.00, 90.00, 90.00 degrees
Space group Im-3m (No. 229)
Inequivalent atoms, fractional coordinates:
1 Sb 0.000 0.000 0.500 x6
2 Au 0.000 0.000 0.000 x2

Most intense lines, 2θ = 10–90°, in order of rising 2θ:
| hkl | 2theta | d_spacing | I_rel |
| --- | --- | --- | --- |
| 1 1 0 | 21.05 | 4.221 | 8.2 |
| 2 0 0 | 29.94 | 2.984 | 100.0 |
| 2 1 1 | 36.89 | 2.437 | 4.4 |
| 2 2 0 | 42.85 | 2.110 | 75.3 |
| 2 2 2 | 53.15 | 1.723 | 26.6 |
| 4 0 0 | 62.21 | 1.492 | 12.4 |
| 4 2 0 | 70.56 | 1.335 | 34.0 |
| 4 2 2 | 78.50 | 1.218 | 25.5 |

Record 3
Simulated X-ray powder pattern
Compound: SmSb2Au
Radiation: Cu Kα (λ = 1.5418 Å)
Structure: a crystal structure in the Materials Project, relaxed with PBE
Lines closer than 0.1° are merged.

Crystal structure
Cell lengths 4.423, 4.423, 10.280 Å; angles 90.00, 90.00, 90.00 degrees
Space group P4/nmm (No. 129, origin choice 2)
Inequivalent atoms, fractional coordinates:
1 Sm 0.250 0.250 0.245 x2
2 Sb 0.250 0.250 0.681 x2
3 Sb 0.250 0.750 0.000 x2
4 Au 0.250 0.750 0.500 x2

Most intense lines, 2θ = 10–90°, in order of rising 2θ:
| hkl | 2theta | d_spacing | I_rel |
| --- | --- | --- | --- |
| 1 1 2 | 33.54 | 2.672 | 100.0 |
| 0 0 4 | 34.91 | 2.570 | 15.1 |
| 2 0 0 | 40.80 | 2.212 | 34.0 |
| 2 0 4 | 54.76 | 1.676 | 16.7 |
| 2 2 0 | 59.07 | 1.564 | 11.4 |
| 1 1 6 | 61.73 | 1.503 | 7.7 |
| 3 1 2 | 69.67 | 1.350 | 24.0 |
| 2 2 4 | 70.49 | 1.336 | 7.9 |

Record 4
Simulated X-ray powder pattern
Compound: Tb5SbAu2
Radiation: Cu Kα (λ = 1.5418 Å)
Structure: a crystal structure in the Materials Project, relaxed with PBE
Lines closer than 0.1° are merged.

Crystal structure
Cell lengths 8.153, 8.153, 13.029 Å; angles 90.00, 90.00, 90.00 degrees
Space group I4/mcm (No. 140)
Inequivalent atoms, fractional coordinates:
1 Tb 0.000 0.000 0.000 x4
2 Tb 0.157 0.343 0.142 x16
3 Sb 0.000 0.000 0.250 x4
4 Au 0.136 0.364 0.500 x8

Most intense lines, 2θ = 10–90°, in order of rising 2θ:
| hkl | 2theta | d_spacing | I_rel |
| --- | --- | --- | --- |
| 0 0 2 | 13.59 | 6.514 | 15.0 |
| 2 1 3 | 32.05 | 2.792 | 100.0 |
| 3 1 0 | 34.80 | 2.578 | 53.3 |
| 2 0 4 | 35.27 | 2.545 | 14.6 |
| 2 1 5 | 42.65 | 2.120 | 15.1 |
| 4 1 3 | 50.73 | 1.800 | 9.3 |
| 5 2 3 | 65.27 | 1.430 | 18.4 |
| 3 1 8 | 68.10 | 1.377 | 11.2 |

Record 5
Simulated X-ray powder pattern
Compound: Tb5SbAu2
Radiation: Cu Kα (λ = 1.5418 Å)
Structure: a crystal structure in the Materials Project, relaxed with PBE
Lines closer than 0.1° are merged.

Crystal structure
Cell lengths 7.420, 7.420, 17.426 Å; angles 90.00, 90.00, 90.00 degrees
Space group I4/mcm (No. 140)
Inequivalent atoms, fractional coordinates:
1 Tb 0.000 0.000 0.000 x4
2 Tb 0.165 0.335 0.166 x16
3 Sb 0.000 0.000 0.250 x4
4 Au 0.127 0.373 0.000 x8

Most intense lines, 2θ = 10–90°, in order of rising 2θ:
| hkl | 2theta | d_spacing | I_rel |
| --- | --- | --- | --- |
| 2 1 1 | 27.36 | 3.260 | 100.0 |
| 0 0 6 | 30.79 | 2.904 | 38.3 |
| 2 0 4 | 31.68 | 2.824 | 22.5 |
| 2 1 5 | 37.42 | 2.403 | 43.1 |
| 3 1 0 | 38.36 | 2.346 | 48.7 |
| 2 1 7 | 45.55 | 1.991 | 26.3 |
| 3 1 6 | 49.97 | 1.825 | 22.5 |
| 3 1 12 | 77.27 | 1.235 | 12.9 |

Record 6
Simulated X-ray powder pattern
Compound: TlSbAu
Radiation: Cu Kα (λ = 1.5418 Å)
Structure: a crystal structure in the Materials Project, relaxed with PBE
Lines closer than 0.1° are merged.

Crystal structure
Cell lengths 6.715, 14.854, 6.681 Å; angles 90.00, 90.00, 90.00 degrees
Space group Pna2_1 (No. 33)
Inequivalent atoms, fractional coordinates:
1 Tl 0.083 0.205 0.000 x4
2 Tl 0.126 0.966 0.273 x4
3 Sb 0.106 0.428 0.266 x4
4 Sb 0.151 0.681 0.019 x4
5 Au 0.036 0.608 0.385 x4
6 Au 0.037 0.858 0.909 x4

Most intense lines, 2θ = 10–90°, in order of rising 2θ:
| hkl | 2theta | d_spacing | I_rel |
| --- | --- | --- | --- |
| 0 2 2 | 29.31 | 3.047 | 74.6 |
| 2 0 1 | 29.78 | 3.000 | 49.0 |
| 1 4 1 | 30.59 | 2.922 | 38.6 |
| 2 2 1 | 32.20 | 2.780 | 100.0 |
| 1 5 0 | 32.98 | 2.716 | 45.7 |
| 1 6 1 | 41.14 | 2.194 | 82.5 |
| 3 2 1 | 44.39 | 2.041 | 42.1 |
| 1 2 3 | 44.57 | 2.033 | 57.3 |

Record 7
Simulated X-ray powder pattern
Compound: Tm3Sb4Au3
Radiation: Cu Kα (λ = 1.5418 Å)
Structure: a crystal structure in the Materials Project, relaxed with PBE
Lines closer than 0.1° are merged.

Crystal structure
Cell lengths 9.886, 9.886, 9.886 Å; angles 90.00, 90.00, 90.00 degrees
Space group I-43d (No. 220)
Inequivalent atoms, fractional coordinates:
1 Tm 0.000 0.250 0.875 x12
2 Sb 0.090 0.410 0.590 x16
3 Au 0.000 0.250 0.375 x12

Most intense lines, 2θ = 10–90°, in order of rising 2θ:
| hkl | 2theta | d_spacing | I_rel |
| --- | --- | --- | --- |
| 2 1 1 | 22.02 | 4.036 | 20.5 |
| 2 2 0 | 25.49 | 3.495 | 12.1 |
| 3 2 1 | 33.93 | 2.642 | 100.0 |
| 4 2 0 | 40.82 | 2.211 | 49.8 |
| 4 2 2 | 44.92 | 2.018 | 13.3 |
| 5 2 1 | 50.57 | 1.805 | 17.6 |
| 4 4 4 | 65.41 | 1.427 | 11.9 |
| 5 5 2 | 69.93 | 1.345 | 11.5 |

Record 8
Simulated X-ray powder pattern
Compound: USb2Au
Radiation: Cu Kα (λ = 1.5418 Å)
Structure: a crystal structure in the Materials Project, relaxed with PBE
Lines closer than 0.1° are merged.

Crystal structure
Cell lengths 4.414, 4.414, 9.890 Å; angles 90.00, 90.00, 90.00 degrees
Space group P4/nmm (No. 129, origin choice 2)
Inequivalent atoms, fractional coordinates:
1 U 0.250 0.250 0.245 x2
2 Sb 0.250 0.250 0.696 x2
3 Sb 0.250 0.750 0.000 x2
4 Au 0.250 0.750 0.500 x2

Most intense lines, 2θ = 10–90°, in order of rising 2θ:
| hkl | 2theta | d_spacing | I_rel |
| --- | --- | --- | --- |
| 1 1 2 | 33.96 | 2.639 | 100.0 |
| 0 0 4 | 36.33 | 2.473 | 15.6 |
| 2 0 0 | 40.89 | 2.207 | 30.8 |
| 2 0 4 | 55.84 | 1.646 | 18.6 |
| 2 2 0 | 59.21 | 1.560 | 10.4 |
| 1 1 6 | 63.86 | 1.458 | 9.1 |
| 3 1 2 | 70.05 | 1.343 | 24.5 |
| 2 2 4 | 71.49 | 1.320 | 9.5 |

What did the seventh record say?
Simulated X-ray powder pattern
Compound: Tm3Sb4Au3
Radiation: Cu Kα (λ = 1.5418 Å)
Structure: a crystal structure in the Materials Project, relaxed with PBE
Lines closer than 0.1° are merged.

Crystal structure
Cell lengths 9.886, 9.886, 9.886 Å; angles 90.00, 90.00, 90.00 degrees
Space group I-43d (No. 220)
Inequivalent atoms, fractional coordinates:
1 Tm 0.000 0.250 0.875 x12
2 Sb 0.090 0.410 0.590 x16
3 Au 0.000 0.250 0.375 x12

Most intense lines, 2θ = 10–90°, in order of rising 2θ:
| hkl | 2theta | d_spacing | I_rel |
| --- | --- | --- | --- |
| 2 1 1 | 22.02 | 4.036 | 20.5 |
| 2 2 0 | 25.49 | 3.495 | 12.1 |
| 3 2 1 | 33.93 | 2.642 | 100.0 |
| 4 2 0 | 40.82 | 2.211 | 49.8 |
| 4 2 2 | 44.92 | 2.018 | 13.3 |
| 5 2 1 | 50.57 | 1.805 | 17.6 |
| 4 4 4 | 65.41 | 1.427 | 11.9 |
| 5 5 2 | 69.93 | 1.345 | 11.5 |